The following is a computed X-ray powder pattern of Sc2Zn15Ga2. It was derived from a structure optimized by DFT (PBE), using Cu Kα (weighted mean of Kα1 and Kα2).
No peak broadening, texture or thermal motion is included.

```
19
Lattice="4.4956 2.5956 4.2916 -4.4956 2.5956 4.2916 0.0000 -5.1911 4.2916" Properties=species:S:1:pos:R:3 pbc="T T T"
Sc 0.0000 0.0000 2.1499
Sc 0.0000 0.0000 10.7248
Zn -2.2478 -1.2978 4.2916
Zn 0.0000 -2.7015 4.1854
Zn -2.3395 1.3507 4.1854
Zn -1.4363 -2.4878 6.4374
Zn -2.8726 0.0000 6.4374
Zn -2.3395 -1.3507 8.6893
Zn -2.2478 1.2978 8.5831
Zn 1.4363 -2.4878 6.4374
Zn 0.0000 2.5955 4.2916
Zn -1.4363 2.4878 6.4374
Zn 2.3395 1.3507 4.1854
Zn 2.8726 0.0000 6.4374
Zn 1.4363 2.4878 6.4374
Zn 2.3395 -1.3507 8.6893
Zn 0.0000 2.7015 8.6893
Ga 0.0000 0.0000 5.1558
Ga 0.0000 0.0000 7.7190
```

Peak list (12 most intense, 2θ from 10° to 90°, low angle first)
- 19.7°, 4.496 Å, rel. 241
- 34.6°, 2.596 Å, rel. 330
- 40.1°, 2.248 Å, rel. 492
- 40.6°, 2.221 Å, rel. 1000
- 42.1°, 2.146 Å, rel. 449
- 45.6°, 1.991 Å, rel. 978
- 46.9°, 1.937 Å, rel. 311
- 66.0°, 1.415 Å, rel. 190
- 70.7°, 1.332 Å, rel. 153
- 72.9°, 1.298 Å, rel. 269
- 76.0°, 1.253 Å, rel. 210
- 87.9°, 1.110 Å, rel. 189